Ce3Sn2: simulated PXRD pattern (Cu Kα), based on a cell relaxed with PBE.

Main lines, in order of rising 2θ (10 to 90 degrees two-theta):
Position (°2θ)	d (Å)	I (rel.)
29.28	3.050	53.1
31.39	2.850	47.2
31.56	2.835	100.0
33.32	2.689	90.2
37.03	2.428	41.8
47.92	1.898	43.1

Structural model:
```
Ce3Sn2
1.0
-3.0498 3.0498 8.0034
3.0498 -3.0498 8.0034
3.0498 3.0498 -8.0034
Ce Sn
6 4
Direct
0.0000 0.0000 0.0000
0.0000 0.0000 0.5000
0.0000 0.5000 0.0000
0.3750 0.6250 0.7500
0.5000 0.0000 0.5000
0.6250 0.3750 0.2500
0.1787 0.4287 0.7500
0.4287 0.1787 0.2500
0.5713 0.8213 0.7500
0.8213 0.5713 0.2500
```

Ce5Sn4: simulated PXRD pattern (Cu Kα), based on a cell relaxed with PBE.

Main lines, in order of rising 2θ (10 to 90 degrees two-theta):
Position (°2θ)	d (Å)	I (rel.)
29.39	3.039	100.0
29.55	3.023	70.9
31.22	2.865	49.8
33.24	2.695	53.4
34.33	2.612	55.6
34.44	2.604	56.0

Structural model:
```
Ce5Sn4
1.0
8.2502 0.0000 0.0000
0.0000 15.7372 0.0000
0.0000 0.0000 8.3611
Ce Sn
20 16
Direct
0.0130 0.0958 0.1871
0.0130 0.4042 0.1871
0.1276 0.6241 0.3392
0.1276 0.8759 0.3392
0.1780 0.2500 0.5139
0.3220 0.7500 0.0139
0.3724 0.1241 0.8392
0.3724 0.3759 0.8392
0.4870 0.5958 0.6871
0.4870 0.9042 0.6871
0.5130 0.0958 0.3129
0.5130 0.4042 0.3129
0.6276 0.6241 0.1608
0.6276 0.8759 0.1608
0.6780 0.2500 0.9861
0.8220 0.7500 0.4861
0.8724 0.1241 0.6607
0.8724 0.3759 0.6607
0.9870 0.5958 0.8129
0.9870 0.9042 0.8129
0.0597 0.2500 0.9006
0.1889 0.7500 0.6530
0.2103 0.0402 0.5388
0.2103 0.4598 0.5388
0.2897 0.5402 0.0388
0.2897 0.9598 0.0388
0.3111 0.2500 0.1530
0.4403 0.7500 0.4006
0.5597 0.2500 0.5994
0.6889 0.7500 0.8470
0.7103 0.0402 0.9612
0.7103 0.4598 0.9612
0.7897 0.5402 0.4612
0.7897 0.9598 0.4612
0.8111 0.2500 0.3470
0.9403 0.7500 0.0994
```

Please write out number 1 again, unchanged.
Ce3Sn2: simulated PXRD pattern (Cu Kα), based on a cell relaxed with PBE.

Main lines, in order of rising 2θ (10 to 90 degrees two-theta):
Position (°2θ)	d (Å)	I (rel.)
29.28	3.050	53.1
31.39	2.850	47.2
31.56	2.835	100.0
33.32	2.689	90.2
37.03	2.428	41.8
47.92	1.898	43.1

Structural model:
```
Ce3Sn2
1.0
-3.0498 3.0498 8.0034
3.0498 -3.0498 8.0034
3.0498 3.0498 -8.0034
Ce Sn
6 4
Direct
0.0000 0.0000 0.0000
0.0000 0.0000 0.5000
0.0000 0.5000 0.0000
0.3750 0.6250 0.7500
0.5000 0.0000 0.5000
0.6250 0.3750 0.2500
0.1787 0.4287 0.7500
0.4287 0.1787 0.2500
0.5713 0.8213 0.7500
0.8213 0.5713 0.2500
```

Please write out number 1 again, unchanged.
Ce3Sn2: simulated PXRD pattern (Cu Kα), based on a cell relaxed with PBE.

Main lines, in order of rising 2θ (10 to 90 degrees two-theta):
Position (°2θ)	d (Å)	I (rel.)
29.28	3.050	53.1
31.39	2.850	47.2
31.56	2.835	100.0
33.32	2.689	90.2
37.03	2.428	41.8
47.92	1.898	43.1

Structural model:
```
Ce3Sn2
1.0
-3.0498 3.0498 8.0034
3.0498 -3.0498 8.0034
3.0498 3.0498 -8.0034
Ce Sn
6 4
Direct
0.0000 0.0000 0.0000
0.0000 0.0000 0.5000
0.0000 0.5000 0.0000
0.3750 0.6250 0.7500
0.5000 0.0000 0.5000
0.6250 0.3750 0.2500
0.1787 0.4287 0.7500
0.4287 0.1787 0.2500
0.5713 0.8213 0.7500
0.8213 0.5713 0.2500
```

What did the second record say?
Ce5Sn4: simulated PXRD pattern (Cu Kα), based on a cell relaxed with PBE.

Main lines, in order of rising 2θ (10 to 90 degrees two-theta):
Position (°2θ)	d (Å)	I (rel.)
29.39	3.039	100.0
29.55	3.023	70.9
31.22	2.865	49.8
33.24	2.695	53.4
34.33	2.612	55.6
34.44	2.604	56.0

Structural model:
```
Ce5Sn4
1.0
8.2502 0.0000 0.0000
0.0000 15.7372 0.0000
0.0000 0.0000 8.3611
Ce Sn
20 16
Direct
0.0130 0.0958 0.1871
0.0130 0.4042 0.1871
0.1276 0.6241 0.3392
0.1276 0.8759 0.3392
0.1780 0.2500 0.5139
0.3220 0.7500 0.0139
0.3724 0.1241 0.8392
0.3724 0.3759 0.8392
0.4870 0.5958 0.6871
0.4870 0.9042 0.6871
0.5130 0.0958 0.3129
0.5130 0.4042 0.3129
0.6276 0.6241 0.1608
0.6276 0.8759 0.1608
0.6780 0.2500 0.9861
0.8220 0.7500 0.4861
0.8724 0.1241 0.6607
0.8724 0.3759 0.6607
0.9870 0.5958 0.8129
0.9870 0.9042 0.8129
0.0597 0.2500 0.9006
0.1889 0.7500 0.6530
0.2103 0.0402 0.5388
0.2103 0.4598 0.5388
0.2897 0.5402 0.0388
0.2897 0.9598 0.0388
0.3111 0.2500 0.1530
0.4403 0.7500 0.4006
0.5597 0.2500 0.5994
0.6889 0.7500 0.8470
0.7103 0.0402 0.9612
0.7103 0.4598 0.9612
0.7897 0.5402 0.4612
0.7897 0.9598 0.4612
0.8111 0.2500 0.3470
0.9403 0.7500 0.0994
```